No. 1
Structure and calculated powder diffractogram of K2TlFeF6 (a cell relaxed with GGA+U; CuKα).
Lines closer than 0.1° are merged.

Cell and atoms:
Cell lengths 6.483, 6.483, 6.483 Å; angles 60.00, 60.00, 60.00 degrees
Fractional positions:
K (0.250, 0.250, 0.250)
K (0.750, 0.750, 0.750)
Tl (0.000, 0.000, 0.000)
Fe (0.500, 0.500, 0.500)
F (0.286, 0.286, 0.714)
F (0.286, 0.714, 0.286)
F (0.286, 0.714, 0.714)
F (0.714, 0.286, 0.286)
F (0.714, 0.286, 0.714)
F (0.714, 0.714, 0.286)

Top 12 peaks for 2θ from 10° to 90°, by angle:
2theta	intensity
16.75	26.3
19.36	59.0
27.52	100.0
32.39	29.5
39.31	39.2
43.00	20.5
44.18	25.2
48.65	37.7
56.80	23.1
60.60	12.1
64.25	20.3
77.99	21.5

=====

No. 2
Structure and calculated powder diffractogram of Li2FeF6 (a cell relaxed with GGA+U; CuKα).
Lines closer than 0.1° are merged.

Cell and atoms:
Cell lengths 8.761, 8.761, 4.508 Å; angles 90.70, 90.70, 59.35 degrees
Fractional positions:
Li (0.151, 0.849, 0.000)
Li (0.159, 0.493, 0.995)
Li (0.493, 0.159, 0.995)
Li (0.507, 0.841, 0.005)
Li (0.841, 0.507, 0.005)
Li (0.849, 0.151, 0.000)
Fe (0.167, 0.167, 0.494)
Fe (0.500, 0.500, 0.000)
Fe (0.833, 0.833, 0.506)
F (0.038, 0.727, 0.270)
F (0.062, 0.062, 0.242)
F (0.063, 0.372, 0.254)
F (0.272, 0.272, 0.745)
F (0.273, 0.962, 0.730)
F (0.292, 0.606, 0.781)
F (0.372, 0.063, 0.254)
F (0.394, 0.708, 0.219)
F (0.397, 0.397, 0.217)
F (0.603, 0.603, 0.783)
F (0.606, 0.292, 0.781)
F (0.628, 0.937, 0.746)
F (0.708, 0.394, 0.219)
F (0.727, 0.038, 0.270)
F (0.728, 0.728, 0.255)
F (0.937, 0.628, 0.746)
F (0.938, 0.938, 0.758)
F (0.962, 0.273, 0.730)

Top 12 peaks for 2θ from 10° to 90°, by angle:
2theta	intensity
20.28	100.0
20.47	49.8
22.79	20.1
22.92	34.1
23.06	53.6
31.01	19.8
37.38	18.3
41.03	64.6
41.25	30.5
54.51	19.8
54.90	32.8
63.75	23.9

=====

No. 3
Structure and calculated powder diffractogram of LiFe2F5 (a cell relaxed with GGA+U; CuKα).
Lines closer than 0.1° are merged.

Cell and atoms:
Cell lengths 8.855, 8.858, 5.884 Å; angles 90.00, 90.00, 90.00 degrees
Fractional positions:
Li (0.234, 0.229, 0.000)
Li (0.266, 0.729, 0.500)
Li (0.734, 0.271, 0.500)
Li (0.766, 0.771, 0.000)
Fe (0.000, 0.000, 0.287)
Fe (0.000, 0.000, 0.713)
Fe (0.133, 0.371, 0.500)
Fe (0.367, 0.871, 0.000)
Fe (0.500, 0.500, 0.213)
Fe (0.500, 0.500, 0.787)
Fe (0.633, 0.129, 0.000)
Fe (0.867, 0.629, 0.500)
F (0.106, 0.596, 0.500)
F (0.112, 0.208, 0.259)
F (0.112, 0.208, 0.741)
F (0.137, 0.927, 0.000)
F (0.169, 0.919, 0.500)
F (0.331, 0.419, 0.000)
F (0.363, 0.427, 0.500)
F (0.388, 0.708, 0.241)
F (0.388, 0.708, 0.759)
F (0.394, 0.096, 0.000)
F (0.606, 0.904, 0.000)
F (0.612, 0.292, 0.241)
F (0.612, 0.292, 0.759)
F (0.637, 0.573, 0.500)
F (0.669, 0.581, 0.000)
F (0.831, 0.081, 0.500)
F (0.863, 0.073, 0.000)
F (0.888, 0.792, 0.259)
F (0.888, 0.792, 0.741)
F (0.894, 0.404, 0.500)

Top 12 peaks for 2θ from 10° to 90°, by angle:
2theta	intensity
14.14	61.2
18.10	100.0
20.05	25.4
22.45	44.4
31.96	32.8
33.66	40.7
33.97	17.2
36.65	20.1
38.10	23.3
44.93	18.6
51.67	30.7
55.96	23.2

=====

No. 4
Structure and calculated powder diffractogram of LiFeF3 (a cell relaxed with GGA+U; CuKα).
Lines closer than 0.1° are merged.

Cell and atoms:
Cell lengths 6.467, 3.998, 9.913 Å; angles 90.00, 90.00, 90.00 degrees
Fractional positions:
Li (0.221, 0.250, 0.058)
Li (0.279, 0.750, 0.558)
Li (0.721, 0.250, 0.442)
Li (0.779, 0.750, 0.942)
Fe (0.075, 0.250, 0.742)
Fe (0.425, 0.750, 0.242)
Fe (0.575, 0.250, 0.758)
Fe (0.925, 0.750, 0.258)
F (0.098, 0.750, 0.715)
F (0.155, 0.750, 0.104)
F (0.187, 0.750, 0.382)
F (0.313, 0.250, 0.882)
F (0.345, 0.250, 0.604)
F (0.402, 0.250, 0.215)
F (0.598, 0.750, 0.785)
F (0.655, 0.750, 0.396)
F (0.687, 0.750, 0.118)
F (0.813, 0.250, 0.618)
F (0.845, 0.250, 0.896)
F (0.902, 0.250, 0.285)

Top 12 peaks for 2θ from 10° to 90°, by angle:
2theta	intensity
17.90	100.0
24.00	89.7
29.05	26.6
33.08	21.5
38.97	49.2
40.22	13.6
45.35	40.6
46.15	11.4
49.14	12.3
51.80	19.7
57.78	13.1
61.31	20.9

=====

No. 5
Structure and calculated powder diffractogram of LiFeF3 (a cell relaxed with GGA+U; CuKα).
Lines closer than 0.1° are merged.

Cell and atoms:
Cell lengths 6.556, 6.675, 8.805 Å; angles 90.58, 104.57, 96.81 degrees
Fractional positions:
Li (0.025, 0.400, 0.298)
Li (0.205, 0.806, 0.021)
Li (0.348, 0.942, 0.743)
Li (0.652, 0.058, 0.257)
Li (0.795, 0.194, 0.979)
Li (0.975, 0.600, 0.702)
Fe (0.244, 0.858, 0.419)
Fe (0.292, 0.312, 0.000)
Fe (0.426, 0.436, 0.668)
Fe (0.574, 0.564, 0.332)
Fe (0.708, 0.688, 0.000)
Fe (0.756, 0.142, 0.581)
F (0.053, 0.330, 0.098)
F (0.104, 0.807, 0.592)
F (0.161, 0.393, 0.752)
F (0.178, 0.910, 0.204)
F (0.287, 0.028, 0.917)
F (0.295, 0.538, 0.428)
F (0.414, 0.131, 0.586)
F (0.424, 0.627, 0.086)
F (0.493, 0.279, 0.239)
F (0.507, 0.721, 0.761)
F (0.576, 0.373, 0.914)
F (0.586, 0.869, 0.414)
F (0.705, 0.462, 0.572)
F (0.713, 0.972, 0.083)
F (0.822, 0.090, 0.796)
F (0.839, 0.607, 0.248)
F (0.896, 0.193, 0.408)
F (0.947, 0.670, 0.902)

Top 12 peaks for 2θ from 10° to 90°, by angle:
2theta	intensity
14.07	83.9
16.61	41.9
19.41	57.7
25.00	100.0
28.85	76.6
29.87	49.9
30.73	39.4
33.84	31.6
39.30	60.4
42.75	92.9
42.93	69.8
56.61	35.0

=====

No. 6
Structure and calculated powder diffractogram of LiFeF3 (a cell relaxed with GGA+U; CuKα).
Lines closer than 0.1° are merged.

Cell and atoms:
Cell lengths 5.075, 5.075, 7.169 Å; angles 90.00, 90.00, 146.24 degrees
Fractional positions:
Li (0.000, 0.000, 0.000)
Li (0.000, 0.000, 0.500)
Fe (0.249, 0.751, 0.750)
Fe (0.751, 0.249, 0.250)
F (0.094, 0.906, 0.250)
F (0.357, 0.643, 0.069)
F (0.357, 0.643, 0.431)
F (0.643, 0.357, 0.569)
F (0.643, 0.357, 0.931)
F (0.906, 0.094, 0.750)

Top 12 peaks for 2θ from 10° to 90°, by angle:
2theta	intensity
18.27	100.0
24.84	35.4
31.01	44.0
34.16	31.7
42.14	19.9
43.39	92.3
45.10	22.0
50.03	48.4
57.20	20.3
58.33	24.8
63.04	29.9
80.12	13.7

=====

No. 7
Structure and calculated powder diffractogram of LiFeF3 (a cell relaxed with GGA+U; CuKα).
Lines closer than 0.1° are merged.

Cell and atoms:
Cell lengths 8.732, 8.732, 6.210 Å; angles 90.00, 90.00, 90.00 degrees
Fractional positions:
Li (0.100, 0.292, 0.086)
Li (0.208, 0.100, 0.414)
Li (0.292, 0.400, 0.414)
Li (0.400, 0.208, 0.086)
Li (0.600, 0.792, 0.914)
Li (0.708, 0.600, 0.586)
Li (0.792, 0.900, 0.586)
Li (0.900, 0.708, 0.914)
Fe (0.057, 0.732, 0.353)
Fe (0.232, 0.943, 0.853)
Fe (0.268, 0.557, 0.853)
Fe (0.443, 0.768, 0.353)
Fe (0.557, 0.232, 0.647)
Fe (0.732, 0.443, 0.147)
Fe (0.768, 0.057, 0.147)
Fe (0.943, 0.268, 0.647)
F (0.077, 0.082, 0.689)
F (0.082, 0.423, 0.811)
F (0.091, 0.297, 0.393)
F (0.109, 0.765, 0.982)
F (0.203, 0.091, 0.107)
F (0.235, 0.609, 0.482)
F (0.265, 0.891, 0.482)
F (0.297, 0.409, 0.107)
F (0.391, 0.735, 0.982)
F (0.409, 0.203, 0.393)
F (0.418, 0.077, 0.811)
F (0.423, 0.418, 0.689)
F (0.577, 0.582, 0.311)
F (0.582, 0.923, 0.189)
F (0.591, 0.797, 0.607)
F (0.609, 0.265, 0.018)
F (0.703, 0.591, 0.893)
F (0.735, 0.109, 0.518)
F (0.765, 0.391, 0.518)
F (0.797, 0.909, 0.893)
F (0.891, 0.235, 0.018)
F (0.909, 0.703, 0.607)
F (0.918, 0.577, 0.189)
F (0.923, 0.918, 0.311)

Top 12 peaks for 2θ from 10° to 90°, by angle:
2theta	intensity
14.34	27.6
17.52	22.2
24.93	45.1
26.97	100.0
28.92	54.3
30.56	57.7
43.99	31.1
47.62	55.5
48.68	38.2
54.59	20.2
55.48	21.8
58.86	22.3

=====

No. 8
Structure and calculated powder diffractogram of LiFe2F6 (a cell relaxed with GGA+U; CuKα).
Lines closer than 0.1° are merged.

Cell and atoms:
Cell lengths 4.744, 4.744, 9.307 Å; angles 90.00, 90.00, 90.00 degrees
Fractional positions:
Li (0.000, 0.000, 0.000)
Li (0.500, 0.500, 0.500)
Fe (0.000, 0.000, 0.337)
Fe (0.000, 0.000, 0.665)
Fe (0.500, 0.500, 0.165)
Fe (0.500, 0.500, 0.837)
F (0.200, 0.200, 0.501)
F (0.202, 0.202, 0.171)
F (0.202, 0.202, 0.830)
F (0.298, 0.702, 0.330)
F (0.298, 0.702, 0.671)
F (0.300, 0.700, 0.001)
F (0.700, 0.300, 0.001)
F (0.702, 0.298, 0.330)
F (0.702, 0.298, 0.671)
F (0.798, 0.798, 0.171)
F (0.798, 0.798, 0.830)
F (0.800, 0.800, 0.501)

Top 12 peaks for 2θ from 10° to 90°, by angle:
2theta	intensity
19.07	18.2
21.02	64.0
26.57	100.0
32.91	15.9
34.54	41.6
39.57	41.0
42.61	11.5
43.76	16.3
52.23	69.3
54.72	25.3
59.60	12.8
66.36	40.9

=====

Q: What is the formula in the third record?
A: LiFe2F5